# 1
Diffraction record for CsTe6. The X-ray diffraction stick pattern is simulated, not measured: it uses DFT lattice parameters and positions (PBE) and Cu Kα.
No peak broadening, texture or thermal motion is included.

Crystal structure
```
data_CsTe6
_chemical_formula_sum 'Cs2 Te12'
_cell_length_a 8.831
_cell_length_b 8.831
_cell_length_c 8.831
_cell_angle_alpha 90.00
_cell_angle_beta 90.00
_cell_angle_gamma 90.00
_symmetry_space_group_name_H-M 'P 1'
_symmetry_Int_Tables_number 1
loop_
_symmetry_equiv_pos_as_xyz
'x,y,z'
loop_
_atom_site_label
_atom_site_fract_x
_atom_site_fract_y
_atom_site_fract_z
Cs1 0.000 0.000 0.000
Cs2 0.500 0.500 0.500
Te1 0.000 0.250 0.500
Te2 0.000 0.500 0.250
Te3 0.000 0.500 0.750
Te4 0.000 0.750 0.500
Te5 0.250 0.000 0.500
Te6 0.250 0.500 0.000
Te7 0.500 0.000 0.250
Te8 0.500 0.000 0.750
Te9 0.500 0.250 0.000
Te10 0.500 0.750 0.000
Te11 0.750 0.000 0.500
Te12 0.750 0.500 0.000
```

Peak list (10 most intense, 10° ≤ 2θ ≤ 90°, most intense first)
24.70 deg, I 100.0, hkl 2 1 1
38.13 deg, I 63.2, hkl 3 2 1
20.11 deg, I 41.2, hkl 2 0 0
35.21 deg, I 34.8, hkl 2 2 2
40.88 deg, I 34.7, hkl 4 0 0
59.19 deg, I 23.2, hkl 4 4 0
65.12 deg, I 19.4, hkl 6 1 1
57.13 deg, I 19.3, hkl 5 2 1
45.96 deg, I 18.5, hkl 4 2 0
14.18 deg, I 18.0, hkl 1 1 0



# 2
Diffraction record for CsTe. The X-ray diffraction stick pattern is simulated, not measured: it uses DFT lattice parameters and positions (PBE) and Cu Kα.
No peak broadening, texture or thermal motion is included.

Crystal structure
```
data_CsTe
_chemical_formula_sum 'Cs4 Te4'
_cell_length_a 6.318
_cell_length_b 11.811
_cell_length_c 5.083
_cell_angle_alpha 90.00
_cell_angle_beta 90.00
_cell_angle_gamma 90.00
_symmetry_space_group_name_H-M 'P 1'
_symmetry_Int_Tables_number 1
loop_
_symmetry_equiv_pos_as_xyz
'x,y,z'
loop_
_atom_site_label
_atom_site_fract_x
_atom_site_fract_y
_atom_site_fract_z
Cs1 0.177 0.136 0.000
Cs2 0.323 0.636 0.000
Cs3 0.677 0.364 0.000
Cs4 0.823 0.864 0.000
Te1 0.135 0.404 0.500
Te2 0.365 0.904 0.500
Te3 0.635 0.096 0.500
Te4 0.865 0.596 0.500
```

Peak list (10 most intense, 10° ≤ 2θ ≤ 90°, most intense first)
27.11 deg, I 100.0, hkl 1 2 1
23.69 deg, I 38.0, hkl 1 1 1
29.27 deg, I 21.7, hkl 2 1 0
30.27 deg, I 21.6, hkl 0 4 0
35.31 deg, I 19.5, hkl 0 0 2
36.47 deg, I 17.2, hkl 2 3 0
47.35 deg, I 14.8, hkl 3 1 1
58.51 deg, I 13.0, hkl 1 2 3
51.67 deg, I 12.5, hkl 2 3 2
47.18 deg, I 12.4, hkl 0 4 2



# 3
Diffraction record for CsTe4. The X-ray diffraction stick pattern is simulated, not measured: it uses DFT lattice parameters and positions (PBE) and Cu Kα.
No peak broadening, texture or thermal motion is included.

Crystal structure
```
data_CsTe4
_chemical_formula_sum 'Cs4 Te16'
_cell_length_a 8.155
_cell_length_b 7.355
_cell_length_c 14.266
_cell_angle_alpha 90.00
_cell_angle_beta 93.68
_cell_angle_gamma 90.00
_symmetry_space_group_name_H-M 'P 1'
_symmetry_Int_Tables_number 1
loop_
_symmetry_equiv_pos_as_xyz
'x,y,z'
loop_
_atom_site_label
_atom_site_fract_x
_atom_site_fract_y
_atom_site_fract_z
Cs1 0.143 0.121 0.353
Cs2 0.143 0.379 0.853
Cs3 0.857 0.621 0.147
Cs4 0.857 0.879 0.647
Te1 0.129 0.608 0.468
Te2 0.129 0.892 0.968
Te3 0.350 0.517 0.213
Te4 0.350 0.983 0.713
Te5 0.378 0.560 0.626
Te6 0.378 0.940 0.126
Te7 0.465 0.194 0.567
Te8 0.465 0.306 0.067
Te9 0.535 0.694 0.933
Te10 0.535 0.806 0.433
Te11 0.622 0.060 0.874
Te12 0.622 0.440 0.374
Te13 0.650 0.017 0.287
Te14 0.650 0.483 0.787
Te15 0.871 0.108 0.032
Te16 0.871 0.392 0.532
```

Peak list (10 most intense, 10° ≤ 2θ ≤ 90°, most intense first)
25.91 deg, I 100.0, hkl 2 0 2
27.18 deg, I 82.5, hkl 1 2 -1
36.20 deg, I 63.3, hkl 1 1 5
24.32 deg, I 56.0, hkl 1 1 -3
27.35 deg, I 54.8, hkl 2 1 -2
10.87 deg, I 40.2, hkl 1 0 0
30.54 deg, I 38.2, hkl 2 1 -3
27.85 deg, I 35.7, hkl 0 1 4
24.49 deg, I 35.3, hkl 2 0 -2
38.81 deg, I 34.9, hkl 0 3 2



# 4
Diffraction record for CsTe4. The X-ray diffraction stick pattern is simulated, not measured: it uses DFT lattice parameters and positions (PBE) and Cu Kα.
No peak broadening, texture or thermal motion is included.

Crystal structure
```
data_CsTe4
_chemical_formula_sum 'Cs1 Te4'
_cell_length_a 4.473
_cell_length_b 7.841
_cell_length_c 7.978
_cell_angle_alpha 108.57
_cell_angle_beta 106.22
_cell_angle_gamma 105.91
_symmetry_space_group_name_H-M 'P 1'
_symmetry_Int_Tables_number 1
loop_
_symmetry_equiv_pos_as_xyz
'x,y,z'
loop_
_atom_site_label
_atom_site_fract_x
_atom_site_fract_y
_atom_site_fract_z
Cs1 0.000 0.000 0.000
Te1 0.134 0.426 0.848
Te2 0.377 0.124 0.634
Te3 0.623 0.876 0.366
Te4 0.866 0.574 0.152
```

Peak list (10 most intense, 10° ≤ 2θ ≤ 90°, most intense first)
13.79 deg, I 100.0, hkl 0 1 -1
30.29 deg, I 52.1, hkl 1 0 1
30.58 deg, I 50.9, hkl -1 1 2
27.79 deg, I 44.3, hkl 0 2 -2
40.34 deg, I 25.2, hkl -2 1 1
36.51 deg, I 25.0, hkl 1 2 -1
36.96 deg, I 23.0, hkl 1 -3 0
46.17 deg, I 20.4, hkl 1 1 -4
46.63 deg, I 16.9, hkl 0 1 3
23.31 deg, I 16.4, hkl 0 1 -2